(1)
This entry pairs a crystal structure of IrRh4Cl with its simulated X-ray powder pattern. Radiation: copper Kα. Structure: a DFT-relaxed cell (GGA-PBE, Alexandria).
Kinematic intensities with the Lorentz-polarization factor, no thermal factor.

Peak list (10 most intense, 2θ from 15° to 90°, by intensity)
- (3 1 1), d = 2.192 Å, I = 100.0
- (2 2 2), d = 2.099 Å, I = 39.8
- (3 3 3), d = 1.399 Å, I = 31.3
- (2 2 0), d = 2.571 Å, I = 26.8
- (4 4 0), d = 1.285 Å, I = 24.5
- (1 1 1), d = 4.198 Å, I = 17.8
- (6 2 2), d = 1.096 Å, I = 14.9
- (2 0 0), d = 3.636 Å, I = 14.8
- (5 3 3), d = 1.109 Å, I = 11.5
- (4 2 2), d = 1.484 Å, I = 9.7

Atomic structure:
```
data_IrRh4Cl
_cell_length_a 7.271
_cell_length_b 7.271
_cell_length_c 7.271
_cell_angle_alpha 90.00
_cell_angle_beta 90.00
_cell_angle_gamma 90.00
_space_group_name_H-M_alt 'F -4 3 m'
_space_group_IT_number 216
_space_group_name_Hall 'F -4 2 3'
loop_
_atom_site_label
_atom_site_fract_x
_atom_site_fract_y
_atom_site_fract_z
Ir1 0.000 0.000 0.000
Rh1 0.125 0.125 0.625
Cl1 0.250 0.250 0.250
```

=====

(2)
This entry pairs a crystal structure of IrS2Cl4 with its simulated X-ray powder pattern. Radiation: copper Kα. Structure: a DFT-relaxed cell (GGA-PBE, Alexandria).
Kinematic intensities with the Lorentz-polarization factor, no thermal factor.

Peak list (10 most intense, 2θ from 15° to 90°, by intensity)
- (1 0 -1), d = 3.461 Å, I = 100.0
- (0 0 3), d = 4.891 Å, I = 38.3
- (1 0 2), d = 3.204 Å, I = 26.8
- (0 1 0), d = 3.559 Å, I = 26.0
- (0 1 -3), d = 3.001 Å, I = 24.6
- (0 1 4), d = 2.451 Å, I = 22.2
- (0 1 -5), d = 2.364 Å, I = 17.6
- (1 1 -4), d = 2.132 Å, I = 15.4
- (1 -1 4), d = 2.140 Å, I = 11.0
- (0 1 3), d = 2.767 Å, I = 10.8

Atomic structure:
```
data_IrS2Cl4
_cell_length_a 3.562
_cell_length_b 3.571
_cell_length_c 14.725
_cell_angle_alpha 94.87
_cell_angle_beta 90.11
_cell_angle_gamma 90.42
_space_group_name_H-M_alt 'P -1'
_space_group_IT_number 2
loop_
_space_group_symop_operation_xyz
'x,y,z'
'-x,-y,-z'
loop_
_atom_site_label
_atom_site_fract_x
_atom_site_fract_y
_atom_site_fract_z
Ir1 0.000 0.000 0.000
S1 0.418 0.811 0.550
Cl1 0.000 0.464 0.898
Cl2 0.416 0.870 0.332
```

=====

(3)
This entry pairs a crystal structure of IrS3Cl11 with its simulated X-ray powder pattern. Radiation: copper Kα. Structure: a DFT-relaxed cell (GGA-PBE, Alexandria).
Kinematic intensities with the Lorentz-polarization factor, no thermal factor.

Peak list (10 most intense, 2θ from 15° to 90°, by intensity)
- (1 2 -1), d = 5.368 Å, I = 100.0
- (2 3 -2), d = 3.129 Å, I = 80.3
- (0 2 2), d = 5.136 Å, I = 78.4
- (0 1 3), d = 4.803 Å, I = 75.1
- (1 2 0), d = 5.412 Å, I = 67.8
- (1 2 -3), d = 4.041 Å, I = 55.1
- (0 4 2), d = 3.149 Å, I = 54.9
- (2 2 -3), d = 3.339 Å, I = 53.5
- (3 3 -4), d = 2.299 Å, I = 51.0
- (1 1 3), d = 3.849 Å, I = 49.7

Atomic structure:
```
data_IrS3Cl11
_cell_length_a 8.991
_cell_length_b 13.810
_cell_length_c 15.853
_cell_angle_alpha 90.00
_cell_angle_beta 104.20
_cell_angle_gamma 90.00
_space_group_name_H-M_alt 'P 1 21/c 1'
_space_group_IT_number 14
loop_
_space_group_symop_operation_xyz
'x,y,z'
'-x,-y,-z'
'-x,y+1/2,-z+1/2'
'x,-y+1/2,z+1/2'
loop_
_atom_site_label
_atom_site_fract_x
_atom_site_fract_y
_atom_site_fract_z
Ir1 0.128 0.094 0.297
S1 0.041 0.522 0.138
S2 0.157 0.537 0.721
S3 0.381 0.249 0.442
Cl1 0.027 0.127 0.650
Cl2 0.049 0.652 0.328
Cl3 0.067 0.233 0.376
Cl4 0.203 0.000 0.105
Cl5 0.266 0.547 0.201
Cl6 0.312 0.052 0.430
Cl7 0.330 0.186 0.263
Cl8 0.356 0.240 0.067
Cl9 0.357 0.610 0.777
Cl10 0.376 0.104 0.911
Cl11 0.385 0.727 0.032
```